(1)
Calculated powder XRD pattern
Compound: Ce2PuReN6
Radiation: Cu Ka
Structure: DFT lattice parameters and positions (GGA-PBE)
Intensities are scaled so that the largest is 100.

Unit cell a=5.681 b=5.773 c=9.811 alpha=90.00 beta=124.90 gamma=90.00
Positions (direct):
Ce: 0.239 0.052 0.251
Ce: 0.239 0.448 0.751
Ce: 0.761 0.552 0.249
Ce: 0.761 0.948 0.749
Pu: 0.500 0.000 0.000
Pu: 0.500 0.500 0.500
Re: 0.000 0.000 0.500
Re: 0.000 0.500 0.000
N: 0.140 0.208 0.946
N: 0.140 0.292 0.446
N: 0.232 0.695 0.945
N: 0.232 0.805 0.445
N: 0.344 0.025 0.741
N: 0.344 0.475 0.241
N: 0.656 0.525 0.759
N: 0.656 0.975 0.259
N: 0.768 0.195 0.555
N: 0.768 0.305 0.055
N: 0.860 0.708 0.554
N: 0.860 0.792 0.054

Most intense lines, 2θ = 15–90°, by angle:
| Position (°2θ) | Rel. int. |
| --- | --- |
| 22.0 | 11 |
| 31.0 | 31 |
| 31.2 | 68 |
| 31.5 | 100 |
| 44.8 | 27 |
| 45.1 | 16 |
| 55.3 | 10 |
| 55.4 | 10 |
| 55.7 | 21 |
| 55.8 | 15 |
| 56.2 | 22 |
| 74.4 | 11 |


(2)
Calculated powder XRD pattern
Compound: CePuSe2N
Radiation: Cu Ka
Structure: DFT lattice parameters and positions (GGA-PBE)
Intensities are scaled so that the largest is 100.

Unit cell a=4.046 b=4.046 c=14.312 alpha=90.00 beta=90.00 gamma=90.00
Positions (direct):
Ce: 0.250 0.250 0.078
Ce: 0.750 0.750 0.922
Pu: 0.250 0.250 0.617
Pu: 0.750 0.750 0.383
Se: 0.250 0.250 0.408
Se: 0.250 0.250 0.807
Se: 0.750 0.750 0.193
Se: 0.750 0.750 0.592
N: 0.250 0.750 0.000
N: 0.750 0.250 0.000

Most intense lines, 2θ = 15–90°, by angle:
| Position (°2θ) | Rel. int. |
| --- | --- |
| 22.8 | 21 |
| 24.9 | 28 |
| 25.3 | 55 |
| 31.3 | 100 |
| 33.4 | 21 |
| 38.5 | 23 |
| 40.4 | 37 |
| 44.1 | 14 |
| 44.8 | 50 |
| 51.9 | 16 |
| 52.1 | 16 |
| 74.1 | 23 |


(3)
Calculated powder XRD pattern
Compound: Ce2PuSnN5
Radiation: Cu Ka
Structure: DFT lattice parameters and positions (GGA-PBE)
Intensities are scaled so that the largest is 100.

Unit cell a=7.250 b=7.250 c=11.324 alpha=90.00 beta=90.00 gamma=151.98
Positions (direct):
Ce: 0.131 0.869 0.500
Ce: 0.132 0.868 0.976
Ce: 0.868 0.132 0.476
Ce: 0.869 0.131 0.000
Pu: 0.234 0.766 0.249
Pu: 0.766 0.234 0.749
Sn: 0.499 0.501 0.737
Sn: 0.501 0.499 0.237
N: 0.069 0.931 0.292
N: 0.275 0.725 0.608
N: 0.281 0.719 0.888
N: 0.377 0.623 0.337
N: 0.477 0.523 0.055
N: 0.523 0.477 0.555
N: 0.623 0.377 0.837
N: 0.719 0.281 0.388
N: 0.725 0.275 0.108
N: 0.931 0.069 0.792

Most intense lines, 2θ = 15–90°, by angle:
| Position (°2θ) | Rel. int. |
| --- | --- |
| 27.3 | 32 |
| 29.9 | 100 |
| 30.6 | 39 |
| 31.6 | 43 |
| 31.8 | 39 |
| 32.8 | 18 |
| 35.5 | 34 |
| 45.5 | 32 |
| 55.1 | 29 |
| 55.2 | 19 |
| 61.2 | 27 |
| 62.2 | 23 |


(4)
Calculated powder XRD pattern
Compound: Ce2PuThN4
Radiation: Cu Ka
Structure: DFT lattice parameters and positions (GGA-PBE)
Intensities are scaled so that the largest is 100.

Unit cell a=6.201 b=3.585 c=6.207 alpha=90.00 beta=109.58 gamma=90.00
Positions (direct):
Ce: 0.000 0.000 0.000
Ce: 0.500 0.500 0.000
Pu: 0.000 0.500 0.500
Th: 0.500 0.000 0.500
N: 0.243 0.000 0.744
N: 0.248 0.500 0.250
N: 0.752 0.500 0.750
N: 0.757 0.000 0.256

Most intense lines, 2θ = 15–90°, by angle:
| Position (°2θ) | Rel. int. |
| --- | --- |
| 15.2 | 8 |
| 30.6 | 100 |
| 35.4 | 69 |
| 51.0 | 41 |
| 51.1 | 8 |
| 60.6 | 38 |
| 60.7 | 8 |
| 63.6 | 12 |
| 75.0 | 8 |
| 83.1 | 13 |
| 85.7 | 15 |
| 85.9 | 7 |


(5)
Calculated powder XRD pattern
Compound: Rb2Ce4S3N2
Radiation: Cu Ka
Structure: DFT lattice parameters and positions (GGA-PBE)
Intensities are scaled so that the largest is 100.

Unit cell a=12.934 b=12.934 c=12.934 alpha=159.13 beta=159.13 gamma=29.68
Positions (direct):
Rb: 0.203 0.203 0.000
Rb: 0.797 0.797 0.000
Ce: 0.076 0.576 0.500
Ce: 0.424 0.924 0.500
Ce: 0.576 0.076 0.500
Ce: 0.924 0.424 0.500
S: 0.346 0.346 0.000
S: 0.500 0.500 0.000
S: 0.654 0.654 0.000
N: 0.087 0.087 0.000
N: 0.913 0.913 0.000

Most intense lines, 2θ = 15–90°, by angle:
| Position (°2θ) | Rel. int. |
| --- | --- |
| 21.3 | 39 |
| 27.9 | 87 |
| 28.6 | 29 |
| 31.5 | 23 |
| 34.6 | 100 |
| 38.4 | 68 |
| 39.6 | 20 |
| 44.4 | 23 |
| 48.6 | 27 |
| 51.8 | 22 |
| 55.5 | 23 |
| 67.0 | 29 |


(6)
Calculated powder XRD pattern
Compound: CeReN4
Radiation: Cu Ka
Structure: DFT lattice parameters and positions (GGA-PBE)
Intensities are scaled so that the largest is 100.

Unit cell a=4.873 b=5.591 c=5.226 alpha=90.00 beta=90.32 gamma=90.00
Positions (direct):
Ce: 0.000 0.000 0.000
Ce: 0.000 0.500 0.500
Re: 0.500 0.000 0.500
Re: 0.500 0.500 0.000
N: 0.088 0.091 0.495
N: 0.088 0.409 0.995
N: 0.427 0.707 0.300
N: 0.427 0.793 0.800
N: 0.573 0.207 0.200
N: 0.573 0.293 0.700
N: 0.912 0.591 0.005
N: 0.912 0.909 0.505

Most intense lines, 2θ = 15–90°, by angle:
| Position (°2θ) | Rel. int. |
| --- | --- |
| 29.7 | 97 |
| 29.8 | 100 |
| 32.0 | 44 |
| 34.3 | 40 |
| 36.9 | 38 |
| 47.6 | 37 |
| 49.6 | 27 |
| 55.7 | 41 |
| 58.5 | 16 |
| 58.8 | 15 |
| 61.6 | 15 |
| 61.9 | 16 |


(7)
Calculated powder XRD pattern
Compound: Ce2SmReN5
Radiation: Cu Ka
Structure: DFT lattice parameters and positions (GGA-PBE)
Intensities are scaled so that the largest is 100.

Unit cell a=7.459 b=7.459 c=7.459 alpha=127.09 beta=127.09 gamma=78.10
Positions (direct):
Ce: 0.174 0.674 0.847
Ce: 0.326 0.174 0.500
Ce: 0.674 0.826 0.500
Ce: 0.826 0.326 0.153
Sm: 0.250 0.250 0.000
Sm: 0.750 0.750 0.000
Re: 0.250 0.750 0.500
Re: 0.750 0.250 0.500
N: 0.000 0.000 0.000
N: 0.008 0.204 0.500
N: 0.204 0.704 0.196
N: 0.296 0.492 0.500
N: 0.492 0.992 0.196
N: 0.500 0.500 0.000
N: 0.508 0.008 0.804
N: 0.704 0.508 0.500
N: 0.796 0.296 0.804
N: 0.992 0.796 0.500

Most intense lines, 2θ = 15–90°, by angle:
| Position (°2θ) | Rel. int. |
| --- | --- |
| 26.8 | 7 |
| 30.9 | 29 |
| 31.0 | 100 |
| 38.3 | 42 |
| 41.4 | 7 |
| 41.5 | 8 |
| 45.9 | 7 |
| 50.0 | 25 |
| 55.0 | 17 |
| 57.7 | 16 |
| 62.5 | 14 |
| 71.3 | 13 |


(8)
Calculated powder XRD pattern
Compound: Ce2SmReN4
Radiation: Cu Ka
Structure: DFT lattice parameters and positions (GGA-PBE)
Intensities are scaled so that the largest is 100.

Unit cell a=6.235 b=6.235 c=11.768 alpha=90.00 beta=90.00 gamma=148.38
Positions (direct):
Ce: 0.132 0.868 0.546
Ce: 0.132 0.868 0.954
Ce: 0.868 0.132 0.046
Ce: 0.868 0.132 0.454
Sm: 0.382 0.618 0.750
Sm: 0.618 0.382 0.250
Re: 0.356 0.644 0.250
Re: 0.644 0.356 0.750
N: 0.040 0.960 0.750
N: 0.231 0.769 0.130
N: 0.231 0.769 0.370
N: 0.500 0.500 0.000
N: 0.500 0.500 0.500
N: 0.769 0.231 0.630
N: 0.769 0.231 0.870
N: 0.960 0.040 0.250

Most intense lines, 2θ = 15–90°, by angle:
| Position (°2θ) | Rel. int. |
| --- | --- |
| 16.6 | 22 |
| 29.8 | 64 |
| 30.4 | 41 |
| 31.3 | 96 |
| 35.8 | 18 |
| 38.0 | 100 |
| 41.2 | 27 |
| 43.1 | 29 |
| 49.0 | 20 |
| 52.2 | 17 |
| 54.0 | 18 |
| 62.7 | 22 |


(9)
Calculated powder XRD pattern
Compound: CeY2ReN4
Radiation: Cu Ka
Structure: DFT lattice parameters and positions (GGA-PBE)
Intensities are scaled so that the largest is 100.

Unit cell a=6.100 b=6.100 c=11.657 alpha=90.00 beta=90.00 gamma=147.40
Positions (direct):
Ce: 0.113 0.887 0.750
Ce: 0.887 0.113 0.250
Y: 0.369 0.631 0.541
Y: 0.369 0.631 0.959
Y: 0.631 0.369 0.041
Y: 0.631 0.369 0.459
Re: 0.145 0.855 0.250
Re: 0.855 0.145 0.750
N: 0.000 0.000 0.000
N: 0.000 0.000 0.500
N: 0.266 0.734 0.130
N: 0.266 0.734 0.370
N: 0.449 0.551 0.750
N: 0.551 0.449 0.250
N: 0.734 0.266 0.630
N: 0.734 0.266 0.870

Most intense lines, 2θ = 15–90°, by angle:
| Position (°2θ) | Rel. int. |
| --- | --- |
| 15.2 | 44 |
| 16.9 | 20 |
| 30.5 | 55 |
| 30.7 | 51 |
| 31.2 | 100 |
| 35.8 | 21 |
| 38.2 | 97 |
| 43.8 | 34 |
| 49.7 | 20 |
| 52.9 | 22 |
| 62.9 | 28 |
| 64.0 | 21 |


(10)
Calculated powder XRD pattern
Compound: CeSm2RhN4
Radiation: Cu Ka
Structure: DFT lattice parameters and positions (GGA-PBE)
Intensities are scaled so that the largest is 100.

Unit cell a=6.159 b=6.159 c=11.840 alpha=90.00 beta=90.00 gamma=147.65
Positions (direct):
Ce: 0.113 0.887 0.750
Ce: 0.887 0.113 0.250
Sm: 0.370 0.630 0.549
Sm: 0.370 0.630 0.951
Sm: 0.630 0.370 0.049
Sm: 0.630 0.370 0.451
Rh: 0.149 0.851 0.250
Rh: 0.851 0.149 0.750
N: 0.000 0.000 0.000
N: 0.000 0.000 0.500
N: 0.281 0.719 0.135
N: 0.281 0.719 0.365
N: 0.457 0.543 0.750
N: 0.543 0.457 0.250
N: 0.719 0.281 0.635
N: 0.719 0.281 0.865

Most intense lines, 2θ = 15–90°, by angle:
| Position (°2θ) | Rel. int. |
| --- | --- |
| 27.2 | 51 |
| 30.2 | 98 |
| 31.1 | 100 |
| 35.5 | 38 |
| 37.9 | 91 |
| 41.0 | 25 |
| 43.2 | 21 |
| 47.3 | 20 |
| 49.3 | 28 |
| 52.4 | 34 |
| 53.4 | 20 |
| 62.6 | 25 |


(11)
Calculated powder XRD pattern
Compound: Ce2TcRhN5
Radiation: Cu Ka
Structure: DFT lattice parameters and positions (GGA-PBE)
Intensities are scaled so that the largest is 100.

Unit cell a=6.675 b=6.675 c=10.209 alpha=90.00 beta=90.00 gamma=150.98
Positions (direct):
Ce: 0.102 0.898 0.500
Ce: 0.151 0.849 0.119
Ce: 0.849 0.151 0.619
Ce: 0.898 0.102 0.000
Tc: 0.209 0.791 0.838
Tc: 0.791 0.209 0.338
Rh: 0.474 0.526 0.267
Rh: 0.526 0.474 0.767
N: 0.062 0.938 0.882
N: 0.279 0.721 0.459
N: 0.321 0.679 0.189
N: 0.366 0.634 0.814
N: 0.483 0.517 0.579
N: 0.517 0.483 0.079
N: 0.634 0.366 0.314
N: 0.679 0.321 0.689
N: 0.721 0.279 0.959
N: 0.938 0.062 0.382

Most intense lines, 2θ = 15–90°, by angle:
| Position (°2θ) | Rel. int. |
| --- | --- |
| 29.0 | 29 |
| 29.7 | 64 |
| 32.8 | 100 |
| 33.9 | 58 |
| 35.1 | 35 |
| 37.9 | 18 |
| 38.4 | 71 |
| 42.9 | 22 |
| 54.9 | 20 |
| 57.8 | 22 |
| 63.7 | 18 |
| 72.1 | 16 |


(12)
Calculated powder XRD pattern
Compound: Ce3RuN
Radiation: Cu Ka
Structure: DFT lattice parameters and positions (GGA-PBE)
Intensities are scaled so that the largest is 100.

Unit cell a=3.594 b=6.285 c=9.853 alpha=100.25 beta=90.04 gamma=106.56
Positions (direct):
Ce: 0.124 0.248 0.216
Ce: 0.148 0.296 0.608
Ce: 0.367 0.735 0.082
Ce: 0.633 0.265 0.918
Ce: 0.852 0.704 0.392
Ce: 0.876 0.752 0.784
Ru: 0.429 0.856 0.605
Ru: 0.571 0.144 0.395
N: 0.246 0.493 0.855
N: 0.754 0.507 0.145

Most intense lines, 2θ = 15–90°, by angle:
| Position (°2θ) | Rel. int. |
| --- | --- |
| 28.9 | 31 |
| 30.2 | 59 |
| 32.8 | 100 |
| 33.8 | 35 |
| 34.0 | 26 |
| 36.5 | 65 |
| 37.2 | 30 |
| 50.8 | 24 |
| 52.7 | 19 |
| 59.6 | 27 |
| 60.3 | 19 |
| 62.8 | 20 |